# K3LuP2O8
Simulated powder X-ray diffraction pattern, Cu Kα X-rays. Input: the PBE geometry in Alexandria.

Cell and atoms:
a = 9.6844 Å, b = 9.6844 Å, c = 7.8471 Å
α = 90.00°, β = 90.00°, γ = 120.00°
Space group P-3 (No. 147)
Asymmetric unit:
K 0.0000 0.0000 0.0000
K 0.0005 0.3341 0.2442
K 0.3333 0.6667 0.0045
Lu 0.0000 0.0000 0.5000
Lu 0.3333 0.6667 0.5329
P 0.0133 0.6724 0.2715
O 0.0070 0.1853 0.6656
O 0.0700 0.7004 0.0863
O 0.1415 0.6628 0.3849
O 0.1500 0.4853 0.7067

Top 6 peaks for 5 to 70 degrees two-theta, by intensity:
2θ (°)  I/Imax  h k l
29.30  100  2 -1 2
32.01  67  3 0 0
21.56  61  2 -1 1
11.28  52  0 0 1
43.94  38  4 -2 2
18.32  35  1 1 0